Simulated powder XRD pattern of KAg for copper Kα, from the GGA-PBE geometry in Alexandria.
No peak broadening, texture or thermal motion is included.

Top 8 peaks for 2θ = 5–70°, sorted by position:
2θ (°), intensity
12.0, 60
14.7, 83
15.1, 43
30.5, 100
30.7, 84
33.0, 30
42.0, 34
54.4, 24

Structure:
Cell lengths 6.836, 6.836, 7.945 Å; angles 110.96, 110.96, 36.64 degrees
Element x y z (fractional)
K: 0.000 0.000 0.000
K: 0.006 0.006 0.555
K: 0.290 0.290 0.172
Ag: 0.291 0.291 0.636
Ag: 0.669 0.669 0.405
Ag: 0.717 0.717 0.800